1.
For Na3Ag3F8, a DFT-relaxed cell (GGA-PBE, Alexandria) gives the calculated X-ray diffraction stick pattern in this record (a wavelength of 1.5418 Å).
Intensities are scaled so that the largest is 100.

Crystal structure
abc: 6.844 6.844 6.844
angles: 59.23 59.23 59.23
Fractional positions:
Na  0.000  0.500  0.500
Na  0.500  0.000  0.500
Na  0.500  0.500  0.000
Ag  0.135  0.135  0.135
Ag  0.500  0.500  0.500
Ag  0.865  0.865  0.865
F  0.267  0.267  0.267
F  0.270  0.270  0.721
F  0.270  0.721  0.270
F  0.279  0.730  0.730
F  0.721  0.270  0.270
F  0.730  0.279  0.730
F  0.730  0.730  0.279
F  0.733  0.733  0.733

Largest 6 diffraction maxima, sorted by position, 2θ = 15–90°:
| d_spacing | 2θ (°) | I_rel |
| --- | --- | --- |
| 5.620 | 15.77 | 43 |
| 3.382 | 26.35 | 79 |
| 2.922 | 30.59 | 33 |
| 2.898 | 30.86 | 100 |
| 1.711 | 53.57 | 26 |
| 1.691 | 54.25 | 29 |

2.
For NaAg2F4, a DFT-relaxed cell (GGA-PBE, Alexandria) gives the calculated X-ray diffraction stick pattern in this record (a wavelength of 1.5418 Å).
Intensities are scaled so that the largest is 100.

Crystal structure
abc: 6.830 6.830 6.830
angles: 118.57 118.57 92.49
Fractional positions:
Na  0.375  0.625  0.750
Na  0.625  0.375  0.250
Ag  0.000  0.000  0.000
Ag  0.000  0.000  0.500
Ag  0.000  0.500  0.000
Ag  0.500  0.000  0.500
F  0.169  0.719  0.450
F  0.232  0.281  0.950
F  0.281  0.232  0.450
F  0.281  0.831  0.050
F  0.719  0.169  0.950
F  0.719  0.768  0.550
F  0.768  0.719  0.050
F  0.831  0.281  0.550

Largest 6 diffraction maxima, sorted by position, 2θ = 15–90°:
| d_spacing | 2θ (°) | I_rel |
| --- | --- | --- |
| 5.612 | 15.79 | 100 |
| 2.963 | 30.16 | 53 |
| 2.870 | 31.16 | 52 |
| 2.806 | 31.89 | 46 |
| 2.467 | 36.42 | 45 |
| 1.706 | 53.73 | 33 |

3.
For Na2NbAgF6, a DFT-relaxed cell (GGA-PBE, Alexandria) gives the calculated X-ray diffraction stick pattern in this record (a wavelength of 1.5418 Å).
Intensities are scaled so that the largest is 100.

Crystal structure
abc: 6.330 6.330 6.330
angles: 60.00 60.00 60.00
Fractional positions:
Na  0.250  0.250  0.250
Na  0.750  0.750  0.750
Nb  0.000  0.000  0.000
Ag  0.500  0.500  0.500
F  0.231  0.231  0.769
F  0.231  0.769  0.231
F  0.231  0.769  0.769
F  0.769  0.231  0.231
F  0.769  0.231  0.769
F  0.769  0.769  0.231

Largest 6 diffraction maxima, sorted by position, 2θ = 15–90°:
| d_spacing | 2θ (°) | I_rel |
| --- | --- | --- |
| 4.476 | 19.83 | 100 |
| 3.165 | 28.19 | 98 |
| 2.238 | 40.30 | 52 |
| 2.002 | 45.30 | 41 |
| 1.827 | 49.90 | 39 |
| 1.583 | 58.30 | 31 |

- What is the formula in the third record?
  Na2NbAgF6